Entry 1:
La3Si4Ni2Ag2: simulated powder diffraction line list (λ = 1.5418 Å (Cu Kα)), based on the GGA-PBE geometry in OQMD.

Crystal structure
a b c (Å): 4.194 4.298 24.706
angles (deg): 90.00 90.00 90.00
Space group Immm (No. 71)
Symmetry-distinct sites (fractional):
La: 0.000 0.000 0.000 [2 per cell]
La: 0.000 0.500 0.156 [4 per cell]
Si: 0.000 0.000 0.452 [4 per cell]
Si: 0.000 0.500 0.294 [4 per cell]
Ni: 0.000 0.000 0.249 [4 per cell]
Ag: 0.000 0.500 0.398 [4 per cell]

Peak list (6 most intense, 2θ from 15° to 90°, in order of rising 2θ)
hkl 1 0 5, 2θ = 27.9°, 3.197 Å, I = 19
hkl 1 1 4, 2θ = 33.2°, 2.700 Å, I = 100
hkl 0 1 9, 2θ = 38.9°, 2.313 Å, I = 25
hkl 0 2 0, 2θ = 42.0°, 2.149 Å, I = 21
hkl 2 0 0, 2θ = 43.1°, 2.097 Å, I = 17
hkl 2 1 9, 2θ = 59.5°, 1.554 Å, I = 14

Entry 2:
LaNiAgSn2: simulated powder diffraction line list (λ = 1.5418 Å (Cu Kα)), based on the GGA-PBE geometry in OQMD.

Crystal structure
a b c (Å): 4.565 4.565 10.771
angles (deg): 90.00 90.00 90.00
Space group P4/nmm (No. 129, origin choice 2)
Symmetry-distinct sites (fractional):
La: 0.250 0.250 0.241 [2 per cell]
Ni: 0.250 0.250 0.887 [2 per cell]
Ag: 0.250 0.750 0.500 [2 per cell]
Sn: 0.250 0.250 0.655 [2 per cell]
Sn: 0.250 0.750 0.000 [2 per cell]

Peak list (6 most intense, 2θ from 15° to 90°, in order of rising 2θ)
hkl 1 0 3, 2θ = 31.7°, 2.822 Å, I = 30
hkl 1 1 2, 2θ = 32.3°, 2.769 Å, I = 100
hkl 2 0 0, 2θ = 39.5°, 2.282 Å, I = 55
hkl 1 0 5, 2θ = 46.6°, 1.948 Å, I = 17
hkl 2 2 0, 2θ = 57.1°, 1.614 Å, I = 19
hkl 3 1 2, 2θ = 67.1°, 1.394 Å, I = 24

Entry 3:
La3AgO6: simulated powder diffraction line list (λ = 1.5418 Å (Cu Kα)), based on the GGA-PBE geometry in OQMD.

Crystal structure
a b c (Å): 3.890 5.757 7.107
angles (deg): 91.41 103.58 90.60
Space group P-1 (No. 2)
Symmetry-distinct sites (fractional):
La: 0.000 0.000 0.000 [1 per cell]
La: 0.389 0.480 0.730 [2 per cell]
Ag: 0.000 0.000 0.500 [1 per cell]
O: 0.130 0.779 0.304 [2 per cell]
O: 0.149 0.281 0.366 [2 per cell]
O: 0.491 0.745 0.988 [2 per cell]

Peak list (6 most intense, 2θ from 15° to 90°, in order of rising 2θ)
hkl 1 -1 0, 2θ = 28.0°, 3.184 Å, I = 100
hkl 1 1 0, 2θ = 28.5°, 3.136 Å, I = 79
hkl 0 1 -2, 2θ = 29.8°, 2.998 Å, I = 95
hkl 0 1 2, 2θ = 30.6°, 2.925 Å, I = 88
hkl 1 0 -2, 2θ = 30.7°, 2.913 Å, I = 54
hkl 0 2 0, 2θ = 31.1°, 2.877 Å, I = 57

Entry 4:
LaAgPbSe3: simulated powder diffraction line list (λ = 1.5418 Å (Cu Kα)), based on the GGA-PBE geometry in OQMD.

Crystal structure
a b c (Å): 11.198 4.281 13.742
angles (deg): 90.00 90.00 90.00
Space group Pnma (No. 62)
Symmetry-distinct sites (fractional):
La: 0.018 0.250 0.237 [4 per cell]
Ag: 0.235 0.250 0.724 [4 per cell]
Pb: 0.213 0.750 0.506 [4 per cell]
Se: 0.042 0.250 0.611 [4 per cell]
Se: 0.090 0.750 0.097 [4 per cell]
Se: 0.239 0.750 0.843 [4 per cell]

Peak list (6 most intense, 2θ from 15° to 90°, in order of rising 2θ)
hkl 1 1 3, 2θ = 29.7°, 3.012 Å, I = 100
hkl 4 0 0, 2θ = 32.0°, 2.800 Å, I = 30
hkl 3 1 1, 2θ = 32.5°, 2.756 Å, I = 26
hkl 2 1 3, 2θ = 32.8°, 2.730 Å, I = 80
hkl 3 1 3, 2θ = 37.5°, 2.397 Å, I = 27
hkl 0 2 0, 2θ = 42.2°, 2.139 Å, I = 59

Entry 5:
La2Ag2SnPb: simulated powder diffraction line list (λ = 1.5418 Å (Cu Kα)), based on the GGA-PBE geometry in OQMD.

Crystal structure
a b c (Å): 4.8826 4.8826 7.8548
angles (deg): 90.00 90.00 120.00
Space group P3m1 (No. 156)
Symmetry-distinct sites (fractional):
La: 0.0000 0.0000 0.0000 [1 per cell]
La: 0.0000 0.0000 0.4964 [1 per cell]
Ag: 0.3333 0.6667 0.2051 [1 per cell]
Ag: 0.6667 0.3333 0.6921 [1 per cell]
Sn: 0.6667 0.3333 0.2785 [1 per cell]
Pb: 0.3333 0.6667 0.7817 [1 per cell]

Peak list (6 most intense, 2θ from 15° to 90°, in order of rising 2θ)
hkl 1 0 2, 2θ = 31.1°, 2.878 Å, I = 100
hkl 1 1 0, 2θ = 36.8°, 2.441 Å, I = 80
hkl 1 0 3, 2θ = 40.5°, 2.226 Å, I = 21
hkl 0 2 2, 2θ = 48.9°, 1.862 Å, I = 28
hkl 1 1 4, 2θ = 60.5°, 1.530 Å, I = 18
hkl 2 1 2, 2θ = 62.8°, 1.480 Å, I = 27

Entry 6:
LaPrAg2Sb4: simulated powder diffraction line list (λ = 1.5418 Å (Cu Kα)), based on the GGA-PBE geometry in OQMD.

Crystal structure
a b c (Å): 4.434 4.434 10.716
angles (deg): 90.00 90.00 90.00
Space group P4mm (No. 99)
Symmetry-distinct sites (fractional):
La: 0.000 0.000 0.000 [1 per cell]
Pr: 0.500 0.500 0.478 [1 per cell]
Ag: 0.000 0.500 0.738 [2 per cell]
Sb: 0.000 0.000 0.564 [1 per cell]
Sb: 0.000 0.500 0.241 [2 per cell]
Sb: 0.500 0.500 0.913 [1 per cell]

Peak list (6 most intense, 2θ from 15° to 90°, in order of rising 2θ)
hkl 1 0 2, 2θ = 26.1°, 3.416 Å, I = 13
hkl 1 1 2, 2θ = 33.1°, 2.706 Å, I = 100
hkl 0 0 4, 2θ = 33.4°, 2.679 Å, I = 13
hkl 2 0 0, 2θ = 40.7°, 2.217 Å, I = 35
hkl 2 0 4, 2θ = 53.7°, 1.708 Å, I = 14
hkl 3 1 2, 2θ = 69.3°, 1.356 Å, I = 23

Entry 7:
SrLaAgTeS2: simulated powder diffraction line list (λ = 1.5418 Å (Cu Kα)), based on the GGA-PBE geometry in OQMD.

Crystal structure
a b c (Å): 4.219 14.485 11.599
angles (deg): 90.00 90.00 90.00
Space group Cmcm (No. 63)
Symmetry-distinct sites (fractional):
Sr: 0.000 0.208 0.250 [4 per cell]
La: 0.000 0.000 0.000 [4 per cell]
Ag: 0.000 0.490 0.750 [4 per cell]
Te: 0.000 0.114 0.750 [4 per cell]
S: 0.000 0.378 0.581 [8 per cell]

Peak list (6 most intense, 2θ from 15° to 90°, in order of rising 2θ)
hkl 0 0 2, 2θ = 15.3°, 5.800 Å, I = 21
hkl 1 3 1, 2θ = 29.1°, 3.064 Å, I = 38
hkl 0 0 4, 2θ = 30.8°, 2.900 Å, I = 32
hkl 1 3 2, 2θ = 32.1°, 2.786 Å, I = 100
hkl 1 5 2, 2θ = 40.9°, 2.208 Å, I = 28
hkl 2 0 0, 2θ = 42.9°, 2.109 Å, I = 19